[1]
This entry pairs a crystal structure of InNi3H with its calculated X-ray powder pattern. Radiation: Cu Kα (λ = 1.5418 Å). Structure: the PBE geometry in Alexandria.
Lines closer than 0.1° are merged.

The 6 most intense peaks (2θ from 10° to 80°), by intensity:
4.568 Å, 19.43 deg, I = 100
2.049 Å, 44.20 deg, I = 90
3.256 Å, 27.39 deg, I = 82
1.884 Å, 48.32 deg, I = 72
1.947 Å, 46.65 deg, I = 60
2.278 Å, 39.56 deg, I = 38

Cell and atoms:
```
data_InNi3H
_chemical_formula_sum 'In4 Ni12 H4'
_symmetry_space_group_name_H-M 'C m c m'
_symmetry_Int_Tables_number 63
_symmetry_space_group_name_Hall '-C 2c 2'
_cell_length_a 4.886
_cell_length_b 12.877
_cell_length_c 4.643
_cell_angle_alpha 90.00
_cell_angle_beta 90.00
_cell_angle_gamma 90.00
loop_
_atom_site_label
_atom_site_fract_x
_atom_site_fract_y
_atom_site_fract_z
In1 0.000 0.186 0.250
Ni1 0.000 0.000 0.000
Ni2 0.249 0.135 0.750
H1 0.000 0.443 0.250
```

=====

[2]
This entry pairs a crystal structure of Dy2Pt9Pb with its calculated X-ray powder pattern. Radiation: Cu Kα (λ = 1.5418 Å). Structure: the PBE geometry in Alexandria.
Lines closer than 0.1° are merged.

The 6 most intense peaks (2θ from 10° to 80°), by intensity:
2.380 Å, 37.79 deg, I = 100
2.059 Å, 43.98 deg, I = 33
1.242 Å, 76.74 deg, I = 26
1.459 Å, 63.81 deg, I = 22
2.067 Å, 43.80 deg, I = 17
1.246 Å, 76.48 deg, I = 13

Cell and atoms:
```
data_Dy2Pt9Pb
_chemical_formula_sum 'Dy2 Pt9 Pb1'
_symmetry_space_group_name_H-M 'P 4/m m m'
_symmetry_Int_Tables_number 123
_symmetry_space_group_name_Hall '-P 4 2'
_cell_length_a 4.117
_cell_length_b 4.117
_cell_length_c 12.402
_cell_angle_alpha 90.00
_cell_angle_beta 90.00
_cell_angle_gamma 90.00
loop_
_atom_site_label
_atom_site_fract_x
_atom_site_fract_y
_atom_site_fract_z
Dy1 0.000 0.000 0.165
Pt1 0.000 0.500 0.000
Pt2 0.000 0.500 0.331
Pt3 0.500 0.500 0.168
Pt4 0.500 0.500 0.500
Pb1 0.000 0.000 0.500
```

=====

[3]
This entry pairs a crystal structure of Sc2Cu17 with its calculated X-ray powder pattern. Radiation: Cu Kα (λ = 1.5418 Å). Structure: the PBE geometry in Alexandria.
Lines closer than 0.1° are merged.

The 6 most intense peaks (2θ from 10° to 80°), by intensity:
1.875 Å, 48.55 deg, I = 100
2.095 Å, 43.18 deg, I = 98
2.102 Å, 43.03 deg, I = 57
2.073 Å, 43.65 deg, I = 38
1.860 Å, 48.98 deg, I = 31
2.427 Å, 37.03 deg, I = 30

Cell and atoms:
```
data_Sc2Cu17
_chemical_formula_sum 'Sc6 Cu51'
_symmetry_space_group_name_H-M 'R -3 m'
_symmetry_Int_Tables_number 166
_symmetry_space_group_name_Hall '-R 3 2"'
_cell_length_a 8.4089
_cell_length_b 8.4089
_cell_length_c 12.4409
_cell_angle_alpha 90.00
_cell_angle_beta 90.00
_cell_angle_gamma 120.00
loop_
_atom_site_label
_atom_site_fract_x
_atom_site_fract_y
_atom_site_fract_z
Sc1 0.0000 0.0000 0.1579
Cu1 0.0000 0.0000 0.4006
Cu2 0.0000 0.3021 0.5000
Cu3 0.0000 0.5000 0.0000
Cu4 0.0032 0.5016 0.6533
```